Theoretical X-ray diffraction stick pattern of Y5Co2Sn for a wavelength of 1.5418 Å, from the GGA-PBE geometry in Alexandria.
Kinematic intensities with the Lorentz-polarization factor, no thermal factor.

Crystal structure
Lattice parameters (Å, degrees): 7.507 7.507 14.122 90.00 90.00 90.00
Space group I4/mcm (No. 140)
Symmetry-distinct sites (fractional):
Y (0.000, 0.000, 0.000) [4 per cell]
Y (0.168, 0.332, 0.134) [16 per cell]
Co (0.113, 0.387, 0.500) [8 per cell]
Sn (0.000, 0.000, 0.250) [4 per cell]

Peak list (10 most intense, 5 to 70 degrees two-theta, in order of rising 2θ)
index	2θ (°)	d (Å)	Rel. int.
2 1 1	27.30	3.266	178
1 1 4	30.41	2.940	342
2 1 3	32.76	2.733	1000
2 2 0	33.77	2.654	249
2 0 4	34.89	2.572	798
3 1 0	37.90	2.374	716
2 1 5	41.79	2.161	247
3 3 4	58.33	1.582	290
3 1 8	65.94	1.417	252
5 1 4	69.13	1.359	189

***

Theoretical X-ray diffraction stick pattern of Y4CoSn8 for a wavelength of 1.5418 Å, from the GGA-PBE geometry in Alexandria.
Kinematic intensities with the Lorentz-polarization factor, no thermal factor.

Crystal structure
Lattice parameters (Å, degrees): 4.410 4.452 16.624 90.00 90.00 90.00
Space group Pmm2 (No. 25)
Symmetry-distinct sites (fractional):
Y (0.000, 0.000, 0.000) [1 per cell]
Y (0.000, 0.500, 0.493) [1 per cell]
Y (0.500, 0.000, 0.792) [1 per cell]
Y (0.500, 0.500, 0.297) [1 per cell]
Co (0.000, 0.500, 0.704) [1 per cell]
Sn (0.000, 0.000, 0.331) [1 per cell]
Sn (0.000, 0.000, 0.634) [1 per cell]
Sn (0.000, 0.500, 0.148) [1 per cell]
Sn (0.000, 0.500, 0.851) [1 per cell]
Sn (0.500, 0.000, 0.150) [1 per cell]
Sn (0.500, 0.000, 0.456) [1 per cell]
Sn (0.500, 0.500, 0.634) [1 per cell]
Sn (0.500, 0.500, 0.971) [1 per cell]

Peak list (10 most intense, 5 to 70 degrees two-theta, in order of rising 2θ)
index	2θ (°)	d (Å)	Rel. int.
0 0 6	32.31	2.771	177
1 1 3	32.84	2.727	1000
0 2 0	40.52	2.226	182
2 0 0	40.93	2.205	177
0 2 6	52.75	1.735	90
2 0 6	53.08	1.725	88
1 1 9	57.96	1.591	89
2 2 0	58.96	1.567	122
1 3 3	68.86	1.364	204
3 1 3	69.43	1.354	121

***

Theoretical X-ray diffraction stick pattern of YCo2Sn2 for a wavelength of 1.5418 Å, from the GGA-PBE geometry in Alexandria.
Kinematic intensities with the Lorentz-polarization factor, no thermal factor.

Crystal structure
Lattice parameters (Å, degrees): 4.493 4.252 10.210 90.00 96.29 90.00
Space group P2_1/m (No. 11)
Symmetry-distinct sites (fractional):
Y (0.201, 0.250, 0.251) [2 per cell]
Co (0.129, 0.750, 0.999) [2 per cell]
Co (0.290, 0.250, 0.635) [2 per cell]
Sn (0.245, 0.750, 0.497) [2 per cell]
Sn (0.335, 0.250, 0.879) [2 per cell]

Peak list (10 most intense, 5 to 70 degrees two-theta, in order of rising 2θ)
index	2θ (°)	d (Å)	Rel. int.
1 1 1	30.98	2.887	480
1 1 -2	32.86	2.726	1000
0 1 3	33.86	2.647	515
1 0 3	34.98	2.565	315
1 1 2	35.21	2.549	395
2 0 0	40.40	2.233	515
0 2 0	42.52	2.126	567
1 1 -4	44.52	2.035	310
1 2 3	56.17	1.638	241
2 2 0	60.09	1.540	318

***

Theoretical X-ray diffraction stick pattern of Yb3Co8Sn4 for a wavelength of 1.5418 Å, from the GGA-PBE geometry in Alexandria.
Kinematic intensities with the Lorentz-polarization factor, no thermal factor.

Crystal structure
Lattice parameters (Å, degrees): 8.8943 8.8943 7.5180 90.00 90.00 120.00
Space group P6_3mc (No. 186)
Symmetry-distinct sites (fractional):
Yb (0.0548, 0.5274, 0.0000) [6 per cell]
Co (0.0000, 0.0000, 0.2795) [2 per cell]
Co (0.0965, 0.1930, 0.0267) [6 per cell]
Co (0.1574, 0.3148, 0.3333) [6 per cell]
Co (0.3333, 0.6667, 0.6660) [2 per cell]
Sn (0.1721, 0.3442, 0.7074) [6 per cell]
Sn (0.3333, 0.6667, 0.3199) [2 per cell]

Peak list (10 most intense, 5 to 70 degrees two-theta, in order of rising 2θ)
index	2θ (°)	d (Å)	Rel. int.
2 0 1	25.99	3.428	176
2 1 1	32.99	2.715	358
2 0 2	33.31	2.690	1000
3 0 1	37.00	2.430	393
1 0 3	37.75	2.383	294
2 1 2	39.14	2.302	251
2 2 0	40.57	2.224	817
2 0 3	43.06	2.100	192
3 0 3	50.92	1.793	146
3 2 3	64.53	1.444	328